# Nd2TaCoO6
Calculated powder X-ray diffraction pattern, Cu Kα X-rays. Input: DFT lattice parameters and positions (GGA+U).

Most intense lines, 5° ≤ 2θ ≤ 70°, sorted by position:
2θ/deg, d (Å), intensity
18.85, 4.708, 232
30.32, 2.948, 365
31.47, 2.843, 907
32.43, 2.761, 1000
32.66, 2.742, 423
45.17, 2.008, 310
46.42, 1.956, 302
56.94, 1.617, 198

Atomic structure:
```
data_Nd2TaCoO6
_chemical_formula_sum 'Nd4 Ta2 Co2 O12'
_cell_length_a 5.487
_cell_length_b 5.896
_cell_length_c 9.379
_cell_angle_alpha 90.00
_cell_angle_beta 123.50
_cell_angle_gamma 90.00
_symmetry_space_group_name_H-M 'P 1 21/c 1'
_symmetry_Int_Tables_number 14
loop_
_symmetry_equiv_pos_as_xyz
'x,y,z'
'-x,-y,-z'
'-x,y+1/2,-z+1/2'
'x,-y+1/2,z+1/2'
loop_
_atom_site_label
_atom_site_type_symbol
_atom_site_fract_x
_atom_site_fract_y
_atom_site_fract_z
_atom_site_occupancy
Nd1 Nd 0.225 0.071 0.248 1
Ta1 Ta 0.500 0.000 0.000 1
Co1 Co 0.000 0.000 0.500 1
O1 O 0.152 0.180 0.949 1
O2 O 0.265 0.715 0.939 1
O3 O 0.375 0.043 0.758 1
```